The following is a theoretical X-ray powder pattern of DyAgHgF6. It was derived from a GGA-PBE-relaxed structure, using Cu Kα.

Largest 10 diffraction maxima, in order of rising 2θ, 10 to 80 degrees two-theta:
- (1 1 0), 2θ 23.43, d 3.797, intensity 100
- (1 0 3), 2θ 29.41, d 3.037, intensity 91
- (2 0 0), 2θ 33.37, d 2.685, intensity 25
- (2 1 3), 2θ 45.07, d 2.012, intensity 75
- (2 2 0), 2θ 47.91, d 1.899, intensity 18
- (3 1 0), 2θ 54.00, d 1.698, intensity 17
- (1 1 6), 2θ 55.46, d 1.657, intensity 19
- (3 0 3), 2θ 57.22, d 1.610, intensity 22
- (3 2 3), 2θ 67.88, d 1.381, intensity 15
- (4 1 3), 2θ 77.78, d 1.228, intensity 13

```
data_DyAgHgF6
_chemical_formula_sum 'Dy2 Ag2 Hg2 F12'
_cell_length_a 5.3699
_cell_length_b 5.3699
_cell_length_c 11.0480
_cell_angle_alpha 90.00
_cell_angle_beta 90.00
_cell_angle_gamma 90.00
_space_group_name_H-M_alt 'P 42 n m'
_space_group_IT_number 102
loop_
_space_group_symop_operation_xyz
'x,y,z'
'-y+1/2,x+1/2,z+1/2'
'-x,-y,z'
'y+1/2,-x+1/2,z+1/2'
'-x+1/2,y+1/2,z+1/2'
'y,x,z'
'x+1/2,-y+1/2,z+1/2'
'-y,-x,z'
loop_
_atom_site_label
_atom_site_type_symbol
_atom_site_fract_x
_atom_site_fract_y
_atom_site_fract_z
Dy1 Dy 0.0000 0.0000 0.0000
Ag1 Ag 0.0000 0.0000 0.6661
Hg1 Hg 0.0000 0.0000 0.3335
F1 F 0.1820 0.1820 0.1568
F2 F 0.1980 0.1980 0.8548
F3 F 0.2118 0.2118 0.4902
```

The following is a theoretical X-ray powder pattern of KDy2AgF8. It was derived from a GGA-PBE-relaxed structure, using Cu Kα.

Largest 10 diffraction maxima, in order of rising 2θ, 10 to 80 degrees two-theta:
- (0 1 0), 2θ 14.49, d 6.114, intensity 21
- (0 1 2), 2θ 27.29, d 3.267, intensity 100
- (0 2 0), 2θ 29.21, d 3.057, intensity 10
- (1 0 2), 2θ 32.76, d 2.733, intensity 14
- (1 2 2), 2θ 44.46, d 2.038, intensity 43
- (2 0 0), 2θ 46.95, d 1.935, intensity 10
- (0 0 4), 2θ 47.08, d 1.930, intensity 9
- (1 3 0), 2θ 50.63, d 1.803, intensity 18
- (2 1 2), 2θ 55.22, d 1.664, intensity 27
- (1 3 4), 2θ 71.57, d 1.318, intensity 12

```
data_KDy2AgF8
_chemical_formula_sum 'K1 Dy2 Ag1 F8'
_cell_length_a 3.8708
_cell_length_b 6.1143
_cell_length_c 7.7211
_cell_angle_alpha 90.00
_cell_angle_beta 90.00
_cell_angle_gamma 90.00
_space_group_name_H-M_alt 'P m m m'
_space_group_IT_number 47
loop_
_space_group_symop_operation_xyz
'x,y,z'
'-x,-y,-z'
'-x,-y,z'
'x,y,-z'
'x,-y,-z'
'-x,y,z'
'-x,y,-z'
'x,-y,z'
loop_
_atom_site_label
_atom_site_type_symbol
_atom_site_fract_x
_atom_site_fract_y
_atom_site_fract_z
K1 K 0.0000 0.0000 0.0000
Dy1 Dy 0.5000 0.5000 0.2514
Ag1 Ag 0.0000 0.0000 0.5000
F1 F 0.0000 0.2933 0.2547
F2 F 0.5000 0.2899 0.5000
F3 F 0.5000 0.2954 0.0000
```

The following is a theoretical X-ray powder pattern of DyGa7Ag5. It was derived from a GGA-PBE-relaxed structure, using Cu Kα.

Largest 10 diffraction maxima, in order of rising 2θ, 10 to 80 degrees two-theta:
- (1 3 0), 2θ 32.27, d 2.774, intensity 32
- (2 2 0), 2θ 36.96, d 2.432, intensity 85
- (0 4 0), 2θ 37.67, d 2.388, intensity 100
- (1 3 2), 2θ 38.19, d 2.356, intensity 86
- (1 2 3), 2θ 39.05, d 2.306, intensity 35
- (0 0 4), 2θ 40.40, d 2.233, intensity 47
- (2 2 2), 2θ 42.32, d 2.136, intensity 77
- (0 4 2), 2θ 42.95, d 2.106, intensity 36
- (4 0 0), 2θ 66.15, d 1.413, intensity 24
- (2 6 0), 2θ 67.53, d 1.387, intensity 30

```
data_DyGa7Ag5
_chemical_formula_sum 'Dy2 Ga14 Ag10'
_cell_length_a 5.6510
_cell_length_b 9.5533
_cell_length_c 8.9306
_cell_angle_alpha 90.00
_cell_angle_beta 90.00
_cell_angle_gamma 90.00
_space_group_name_H-M_alt 'I m m 2'
_space_group_IT_number 44
loop_
_space_group_symop_operation_xyz
'x,y,z'
'-x,-y,z'
'-x,y,z'
'x,-y,z'
'x+1/2,y+1/2,z+1/2'
'-x+1/2,-y+1/2,z+1/2'
'-x+1/2,y+1/2,z+1/2'
'x+1/2,-y+1/2,z+1/2'
loop_
_atom_site_label
_atom_site_type_symbol
_atom_site_fract_x
_atom_site_fract_y
_atom_site_fract_z
Dy1 Dy 0.0000 0.0000 0.0000
Ga1 Ga 0.0000 0.0000 0.3516
Ga2 Ga 0.0000 0.0000 0.6416
Ga3 Ga 0.0000 0.3206 0.5061
Ga4 Ga 0.0000 0.3469 0.9990
Ga5 Ga 0.0000 0.5000 0.2695
Ag1 Ag 0.0000 0.5000 0.7371
Ag2 Ag 0.2504 0.2429 0.7534
```

The following is a theoretical X-ray powder pattern of DyGa6Ag12. It was derived from a GGA-PBE-relaxed structure, using Cu Kα.

Largest 10 diffraction maxima, in order of rising 2θ, 10 to 80 degrees two-theta:
- (1 3 1), 2θ 32.71, d 2.738, intensity 100
- (1 1 3), 2θ 33.76, d 2.655, intensity 63
- (3 1 2), 2θ 37.22, d 2.416, intensity 17
- (3 2 1), 2θ 39.17, d 2.300, intensity 36
- (0 3 3), 2θ 40.08, d 2.250, intensity 42
- (2 3 2), 2θ 43.11, d 2.098, intensity 33
- (0 2 4), 2θ 44.36, d 2.042, intensity 34
- (2 4 1), 2θ 47.48, d 1.915, intensity 17
- (5 0 2), 2θ 48.41, d 1.880, intensity 52
- (3 1 5), 2θ 61.31, d 1.512, intensity 13

```
data_DyGa6Ag12
_chemical_formula_sum 'Dy3 Ga18 Ag36'
_cell_length_a 11.9826
_cell_length_b 11.9826
_cell_length_c 8.8850
_cell_angle_alpha 90.00
_cell_angle_beta 90.00
_cell_angle_gamma 120.00
_space_group_name_H-M_alt 'R -3 m'
_space_group_IT_number 166
_space_group_name_Hall '-R 3 2"'
loop_
_atom_site_label
_atom_site_type_symbol
_atom_site_fract_x
_atom_site_fract_y
_atom_site_fract_z
Dy1 Dy 0.0000 0.0000 0.0000
Ga1 Ga 0.0502 0.5251 0.2466
Ag1 Ag 0.0000 0.3832 0.5000
Ag2 Ag 0.0811 0.1621 0.3003
```

The following is a theoretical X-ray powder pattern of Dy2Ga3Ag. It was derived from a GGA-PBE-relaxed structure, using Cu Kα.

Largest 10 diffraction maxima, in order of rising 2θ, 10 to 80 degrees two-theta:
- (0 0 4), 2θ 22.97, d 3.872, intensity 13
- (2 2 2), 2θ 33.81, d 2.651, intensity 100
- (0 2 6), 2θ 40.31, d 2.237, intensity 37
- (0 4 0), 2θ 40.41, d 2.232, intensity 18
- (4 0 0), 2θ 50.17, d 1.819, intensity 10
- (2 0 8), 2θ 53.55, d 1.711, intensity 9
- (2 4 4), 2θ 53.66, d 1.708, intensity 18
- (4 4 0), 2θ 66.25, d 1.411, intensity 25
- (2 4 8), 2θ 69.14, d 1.359, intensity 16
- (2 6 2), 2θ 69.29, d 1.356, intensity 8

```
data_Dy2Ga3Ag
_chemical_formula_sum 'Dy16 Ga24 Ag8'
_cell_length_a 7.2740
_cell_length_b 8.9285
_cell_length_c 15.5140
_cell_angle_alpha 90.00
_cell_angle_beta 90.00
_cell_angle_gamma 90.00
_space_group_name_H-M_alt 'F m m m'
_space_group_IT_number 69
_space_group_name_Hall '-F 2 2'
loop_
_atom_site_label
_atom_site_type_symbol
_atom_site_fract_x
_atom_site_fract_y
_atom_site_fract_z
Dy1 Dy 0.2443 0.0000 0.0000
Dy2 Dy 0.2500 0.2500 0.2500
Ga1 Ga 0.0000 0.0000 0.3361
Ga2 Ga 0.0000 0.2468 0.4176
Ag1 Ag 0.0000 0.0000 0.1681
```

The following is a theoretical X-ray powder pattern of Dy4Ga12Ag. It was derived from a GGA-PBE-relaxed structure, using Cu Kα.

Largest 10 diffraction maxima, in order of rising 2θ, 10 to 80 degrees two-theta:
- (2 2 0), 2θ 29.06, d 3.073, intensity 41
- (2 2 2), 2θ 35.79, d 2.509, intensity 100
- (3 2 1), 2θ 38.77, d 2.323, intensity 14
- (4 0 0), 2θ 41.56, d 2.173, intensity 66
- (3 3 2), 2θ 49.17, d 1.853, intensity 11
- (4 2 2), 2θ 51.51, d 1.774, intensity 10
- (4 4 0), 2θ 60.24, d 1.536, intensity 37
- (6 2 0), 2θ 68.25, d 1.374, intensity 13
- (6 2 2), 2θ 72.09, d 1.310, intensity 28
- (4 4 4), 2θ 75.84, d 1.254, intensity 10

```
data_Dy4Ga12Ag
_chemical_formula_sum 'Dy8 Ga24 Ag2'
_cell_length_a 8.6910
_cell_length_b 8.6910
_cell_length_c 8.6910
_cell_angle_alpha 90.00
_cell_angle_beta 90.00
_cell_angle_gamma 90.00
_space_group_name_H-M_alt 'I m -3 m'
_space_group_IT_number 229
_space_group_name_Hall '-I 4 2 3'
loop_
_atom_site_label
_atom_site_type_symbol
_atom_site_fract_x
_atom_site_fract_y
_atom_site_fract_z
Dy1 Dy 0.2500 0.2500 0.2500
Ga1 Ga 0.0000 0.0000 0.3038
Ga2 Ga 0.0000 0.2500 0.5000
Ag1 Ag 0.0000 0.0000 0.0000
```